Ba5LaSi6: computed powder XRD pattern (Cu Kα, 1.54184 Å), based on a PBE-relaxed structure.
Kinematic intensities with the Lorentz-polarization factor, no thermal factor.

Most intense lines, 10 to 80 degrees two-theta, in order of rising 2θ:
2θ 19.50, I = 24, hkl 1 1 1
2θ 25.04, I = 18, hkl 3 0 4
2θ 25.28, I = 42, hkl 4 0 3
2θ 25.81, I = 23, hkl 3 1 2
2θ 27.44, I = 100, hkl 4 1 0
2θ 31.30, I = 59, hkl 4 1 3
2θ 31.97, I = 20, hkl 5 1 1
2θ 32.53, I = 29, hkl 2 1 5
2θ 36.79, I = 35, hkl 0 2 0
2θ 45.16, I = 17, hkl 4 2 3

Atomic structure:
```
Ba5LaSi6
1.0
17.3916 0.0000 0.0000
0.0000 4.8866 0.0000
0.0000 0.0000 18.0168
Ba La Si
20 4 24
Direct
0.0294 0.2500 0.0913
0.0703 0.7500 0.6934
0.0772 0.7500 0.4398
0.1613 0.2500 0.8694
0.1732 0.2500 0.2689
0.3268 0.7500 0.7689
0.3387 0.7500 0.3694
0.4228 0.2500 0.9398
0.4297 0.2500 0.1934
0.4706 0.7500 0.5913
0.5294 0.2500 0.4087
0.5703 0.7500 0.8066
0.5772 0.7500 0.0602
0.6613 0.2500 0.6306
0.6732 0.2500 0.2311
0.8268 0.7500 0.7311
0.8387 0.7500 0.1306
0.9228 0.2500 0.5602
0.9297 0.2500 0.3066
0.9706 0.7500 0.9087
0.2475 0.2500 0.0683
0.2525 0.7500 0.5683
0.7475 0.2500 0.4317
0.7525 0.7500 0.9317
0.0437 0.7500 0.2224
0.1344 0.2500 0.5652
0.1459 0.7500 0.0043
0.1537 0.7500 0.1397
0.2129 0.2500 0.6787
0.2220 0.2500 0.4575
0.2780 0.7500 0.9575
0.2871 0.7500 0.1787
0.3463 0.2500 0.6397
0.3541 0.2500 0.5043
0.3656 0.7500 0.0652
0.4563 0.2500 0.7224
0.5437 0.7500 0.2776
0.6344 0.2500 0.9348
0.6459 0.7500 0.4957
0.6537 0.7500 0.3603
0.7129 0.2500 0.8213
0.7220 0.2500 0.0425
0.7780 0.7500 0.5425
0.7871 0.7500 0.3213
0.8463 0.2500 0.8603
0.8541 0.2500 0.9957
0.8656 0.7500 0.4348
0.9563 0.2500 0.7776
```